Diffraction record for Tb7Ho16Er6. The powder X-ray diffraction pattern is computed, not measured: it uses a GGA-PBE-relaxed structure and copper Kα.
Intensities are scaled so that the largest is 100.

Structure:
Cell: 11.027 11.027 11.027 Å, 60.00 60.00 60.00°
Atoms (fractional coordinates):
Tb 0.000 0.000 0.000
Tb 0.000 0.000 0.500
Tb 0.000 0.500 0.000
Tb 0.000 0.500 0.500
Tb 0.500 0.000 0.000
Tb 0.500 0.000 0.500
Tb 0.500 0.500 0.000
Ho 0.047 0.651 0.651
Ho 0.124 0.124 0.124
Ho 0.124 0.124 0.628
Ho 0.124 0.628 0.124
Ho 0.349 0.349 0.349
Ho 0.349 0.349 0.953
Ho 0.349 0.953 0.349
Ho 0.372 0.876 0.876
Ho 0.628 0.124 0.124
Ho 0.651 0.047 0.651
Ho 0.651 0.651 0.047
Ho 0.651 0.651 0.651
Ho 0.876 0.372 0.876
Ho 0.876 0.876 0.372
Ho 0.876 0.876 0.876
Ho 0.953 0.349 0.349
Er 0.273 0.273 0.727
Er 0.273 0.727 0.273
Er 0.273 0.727 0.727
Er 0.727 0.273 0.273
Er 0.727 0.273 0.727
Er 0.727 0.727 0.273

Peak list (8 most intense, 15 to 90 degrees two-theta, sorted by position)
28.0 deg, intensity 7
29.8 deg, intensity 14
32.5 deg, intensity 100
44.6 deg, intensity 8
46.6 deg, intensity 14
57.9 deg, intensity 25
61.5 deg, intensity 8
68.0 deg, intensity 7